The following is a theoretical powder X-ray diffraction pattern of TiSnO3. It was derived from a GGA-PBE-relaxed structure, using Cu Ka.
Lines closer than 0.1° are merged.

Largest 8 diffraction maxima, low angle first, 2θ = 10–90°:
2θ = 22.5°, d = 3.951 Å, I 15
2θ = 32.0°, d = 2.794 Å, I 100
2θ = 39.5°, d = 2.281 Å, I 25
2θ = 45.9°, d = 1.975 Å, I 36
2θ = 51.7°, d = 1.767 Å, I 9
2θ = 57.1°, d = 1.613 Å, I 40
2θ = 67.0°, d = 1.397 Å, I 22
2θ = 76.2°, d = 1.249 Å, I 18

Structural model:
a = 3.9507 Å, b = 3.9507 Å, c = 3.9507 Å
α = 90.00°, β = 90.00°, γ = 90.00°
Space group Pm-3m (No. 221)
Symmetry-distinct sites (fractional):
Ti (0.0000, 0.0000, 0.0000) [1 per cell]
Sn (0.5000, 0.5000, 0.5000) [1 per cell]
O (0.0000, 0.0000, 0.5000) [3 per cell]